Structure and computed powder XRD pattern of AlW2O4 (DFT lattice parameters and positions (GGA+U); Cu Kα).
Lines closer than 0.1° are merged.

Main lines, sorted by position (10 to 80 degrees two-theta):
2theta  I/Imax
16.0  40
18.2  100
32.2  38
34.6  70
35.7  31
36.9  61
41.6  79
57.3  38

Crystal structure
abc: 6.491 6.491 6.491
angles: 53.85 53.85 53.85
Element x y z (fractional)
Al 0.129 0.129 0.129
Al 0.871 0.871 0.871
W 0.000 0.500 0.500
W 0.500 0.000 0.500
W 0.500 0.500 0.000
W 0.500 0.500 0.500
O 0.236 0.236 0.236
O 0.239 0.751 0.751
O 0.249 0.249 0.761
O 0.249 0.761 0.249
O 0.751 0.239 0.751
O 0.751 0.751 0.239
O 0.761 0.249 0.249
O 0.764 0.764 0.764



Structure and computed powder XRD pattern of AlW2O4 (DFT lattice parameters and positions (GGA+U); Cu Kα).
Lines closer than 0.1° are merged.

Main lines, sorted by position (10 to 80 degrees two-theta):
2theta  I/Imax
17.3  72
18.7  85
30.2  31
31.0  37
35.0  35
35.1  100
36.5  31
37.9  68

Crystal structure
abc: 6.388 6.388 5.389
angles: 112.17 112.17 106.80
Element x y z (fractional)
Al 0.067 0.933 0.750
Al 0.933 0.067 0.250
W 0.000 0.500 0.000
W 0.500 0.000 0.500
W 0.500 0.500 0.000
W 0.500 0.500 0.500
O 0.085 0.243 0.719
O 0.086 0.393 0.311
O 0.243 0.085 0.219
O 0.393 0.086 0.811
O 0.607 0.914 0.189
O 0.757 0.915 0.781
O 0.914 0.607 0.689
O 0.915 0.757 0.281



Structure and computed powder XRD pattern of Na2CoBAsO7 (DFT lattice parameters and positions (GGA+U); Cu Kα).
Lines closer than 0.1° are merged.

Main lines, sorted by position (10 to 80 degrees two-theta):
2theta  I/Imax
16.8  46
24.0  70
24.8  100
27.8  67
29.5  38
33.2  62
33.7  45
34.1  51

Crystal structure
abc: 5.402 6.416 9.218
angles: 90.00 92.89 90.00
Element x y z (fractional)
Na 0.235 0.000 0.279
Na 0.235 0.500 0.279
Na 0.765 0.000 0.721
Na 0.765 0.500 0.721
Co 0.218 0.250 0.834
Co 0.782 0.750 0.166
B 0.270 0.250 0.579
B 0.730 0.750 0.421
As 0.286 0.750 0.934
As 0.714 0.250 0.066
O 0.047 0.250 0.649
O 0.126 0.750 0.089
O 0.203 0.546 0.817
O 0.203 0.954 0.817
O 0.305 0.250 0.439
O 0.396 0.250 0.029
O 0.457 0.250 0.693
O 0.543 0.750 0.307
O 0.604 0.750 0.971
O 0.695 0.750 0.561
O 0.797 0.046 0.183
O 0.797 0.454 0.183
O 0.874 0.250 0.911
O 0.953 0.750 0.351



Structure and computed powder XRD pattern of Na3CoBAsO7 (DFT lattice parameters and positions (GGA+U); Cu Kα).
Lines closer than 0.1° are merged.

Main lines, sorted by position (10 to 80 degrees two-theta):
2theta  I/Imax
19.2  45
23.5  37
25.5  52
26.2  100
29.2  39
32.7  58
32.8  81
33.9  70

Crystal structure
abc: 5.292 11.388 11.394
angles: 73.47 89.11 89.18
Element x y z (fractional)
Na 0.239 0.084 0.334
Na 0.242 0.585 0.835
Na 0.242 0.623 0.122
Na 0.243 0.373 0.373
Na 0.244 0.872 0.872
Na 0.245 0.122 0.622
Na 0.755 0.878 0.378
Na 0.756 0.128 0.128
Na 0.757 0.627 0.627
Na 0.758 0.377 0.878
Na 0.758 0.415 0.165
Na 0.761 0.916 0.666
Co 0.224 0.209 0.959
Co 0.224 0.708 0.458
Co 0.776 0.292 0.542
Co 0.776 0.791 0.041
B 0.261 0.343 0.094
B 0.262 0.843 0.593
B 0.738 0.157 0.407
B 0.739 0.657 0.906
As 0.286 0.413 0.663
As 0.287 0.913 0.163
As 0.713 0.087 0.837
As 0.714 0.587 0.337
O 0.024 0.312 0.064
O 0.025 0.813 0.562
O 0.131 0.331 0.582
O 0.131 0.832 0.081
O 0.206 0.567 0.621
O 0.209 0.371 0.817
O 0.209 0.870 0.316
O 0.211 0.067 0.121
O 0.312 0.416 0.166
O 0.314 0.915 0.665
O 0.391 0.107 0.856
O 0.392 0.605 0.357
O 0.455 0.289 0.038
O 0.455 0.787 0.538
O 0.545 0.213 0.462
O 0.545 0.711 0.962
O 0.608 0.395 0.643
O 0.609 0.893 0.144
O 0.686 0.085 0.335
O 0.688 0.584 0.834
O 0.789 0.933 0.879
O 0.791 0.130 0.684
O 0.791 0.629 0.183
O 0.794 0.433 0.379
O 0.869 0.168 0.919
O 0.869 0.669 0.418
O 0.975 0.187 0.438
O 0.976 0.688 0.936



Structure and computed powder XRD pattern of Na3CoBAsO7 (DFT lattice parameters and positions (GGA+U); Cu Kα).
Lines closer than 0.1° are merged.

Main lines, sorted by position (10 to 80 degrees two-theta):
2theta  I/Imax
19.1  38
25.4  44
26.1  100
29.3  33
32.8  54
33.7  60
48.0  37
53.7  30

Crystal structure
abc: 5.314 6.825 9.115
angles: 89.91 88.44 89.76
Element x y z (fractional)
Na 0.000 0.000 0.000
Na 0.000 0.497 0.000
Na 0.002 0.251 0.674
Na 0.511 0.998 0.509
Na 0.513 0.498 0.509
Na 0.520 0.747 0.832
Co 0.532 0.249 0.089
Co 0.985 0.752 0.424
B 0.035 0.747 0.692
B 0.498 0.248 0.819
As 0.043 0.250 0.332
As 0.471 0.749 0.181
O 0.063 0.748 0.839
O 0.148 0.751 0.224
O 0.234 0.747 0.589
O 0.303 0.248 0.929
O 0.364 0.249 0.292
O 0.447 0.247 0.675
O 0.544 0.553 0.068
O 0.546 0.944 0.068
O 0.625 0.750 0.342
O 0.734 0.250 0.880
O 0.801 0.744 0.623
O 0.886 0.249 0.169
O 0.966 0.444 0.444
O 0.972 0.053 0.444



Question: Which formula does entry 3 have?
Answer: Na2CoBAsO7



Question: What is the formula in the third record?
Answer: Na2CoBAsO7